For Y2Tl3Mo4N3, a PBE-relaxed structure gives the calculated PXRD pattern in this record (Cu Kα, 1.54184 Å).

```
data_Y2Tl3Mo4N3
_chemical_formula_sum 'Y4 Tl6 Mo8 N6'
_cell_length_a 5.8101
_cell_length_b 5.8101
_cell_length_c 14.2356
_cell_angle_alpha 101.83
_cell_angle_beta 101.83
_cell_angle_gamma 60.31
_space_group_name_H-M_alt 'P 1'
_space_group_IT_number 1
_space_group_name_Hall 'P 1'
loop_
_atom_site_label
_atom_site_type_symbol
_atom_site_fract_x
_atom_site_fract_y
_atom_site_fract_z
Y1 Y 0.0324 0.8654 0.6010
Y2 Y 0.1346 0.9676 0.8990
Y3 Y 0.8654 0.0324 0.1010
Y4 Y 0.9676 0.1346 0.3990
Tl1 Tl 0.0821 0.3226 0.7479
Tl2 Tl 0.3226 0.0821 0.2479
Tl3 Tl 0.4888 0.5112 0.7500
Tl4 Tl 0.5112 0.4888 0.2500
Tl5 Tl 0.6774 0.9179 0.7521
Tl6 Tl 0.9179 0.6774 0.2521
Mo1 Mo 0.1886 0.3682 0.0662
Mo2 Mo 0.3212 0.4646 0.4342
Mo3 Mo 0.3682 0.1886 0.5662
Mo4 Mo 0.4646 0.3212 0.9342
Mo5 Mo 0.5354 0.6788 0.0658
Mo6 Mo 0.6318 0.8114 0.4338
Mo7 Mo 0.6788 0.5354 0.5658
Mo8 Mo 0.8114 0.6318 0.9338
N1 N 0.0000 0.5000 0.5000
N2 N 0.1643 0.6729 0.9998
N3 N 0.3271 0.8357 0.5002
N4 N 0.5000 0.0000 0.0000
N5 N 0.6729 0.1643 0.4998
N6 N 0.8357 0.3271 0.0002
```

The 10 most intense peaks (5° ≤ 2θ ≤ 70°), in order of falling intensity:
2theta	I (rel.)
36.5	100
36.6	55
39.1	31
30.8	22
12.8	18
25.8	16
69.1	15
54.5	15
50.6	12
30.6	12

=====

For ZnMoN2, a PBE-relaxed structure gives the calculated PXRD pattern in this record (Cu Kα, 1.54184 Å).

```
data_ZnMoN2
_chemical_formula_sum 'Zn2 Mo2 N4'
_cell_length_a 2.9261
_cell_length_b 2.9261
_cell_length_c 11.4849
_cell_angle_alpha 90.00
_cell_angle_beta 90.00
_cell_angle_gamma 120.00
_space_group_name_H-M_alt 'P 1'
_space_group_IT_number 1
_space_group_name_Hall 'P 1'
loop_
_atom_site_label
_atom_site_type_symbol
_atom_site_fract_x
_atom_site_fract_y
_atom_site_fract_z
Zn1 Zn 0.3333 0.6667 0.0000
Zn2 Zn 0.6667 0.3333 0.5000
Mo1 Mo 0.3333 0.6667 0.7705
Mo2 Mo 0.6667 0.3333 0.2705
N1 N 0.3333 0.6667 0.1644
N2 N 0.3333 0.6667 0.3871
N3 N 0.6667 0.3333 0.6644
N4 N 0.6667 0.3333 0.8871
```

The 10 most intense peaks (5° ≤ 2θ ≤ 70°), in order of falling intensity:
2theta	I (rel.)
36.3	100
53.9	74
42.8	56
35.4	55
31.1	53
63.6	35
47.9	24
15.4	24
65.0	8
68.1	4

=====

For ZnMo3N2, a PBE-relaxed structure gives the calculated PXRD pattern in this record (Cu Kα, 1.54184 Å).

```
data_ZnMo3N2
_chemical_formula_sum 'Zn2 Mo6 N4'
_cell_length_a 3.1121
_cell_length_b 3.1121
_cell_length_c 17.8416
_cell_angle_alpha 90.00
_cell_angle_beta 90.00
_cell_angle_gamma 120.00
_space_group_name_H-M_alt 'P 1'
_space_group_IT_number 1
_space_group_name_Hall 'P 1'
loop_
_atom_site_label
_atom_site_type_symbol
_atom_site_fract_x
_atom_site_fract_y
_atom_site_fract_z
Zn1 Zn 0.0000 0.0000 0.2500
Zn2 Zn 0.0000 0.0000 0.7500
Mo1 Mo 0.0000 0.0000 0.0000
Mo2 Mo 0.0000 0.0000 0.5000
Mo3 Mo 0.3333 0.6667 0.1283
Mo4 Mo 0.3333 0.6667 0.3717
Mo5 Mo 0.6667 0.3333 0.6283
Mo6 Mo 0.6667 0.3333 0.8717
N1 N 0.3333 0.6667 0.5689
N2 N 0.3333 0.6667 0.9311
N3 N 0.6667 0.3333 0.0689
N4 N 0.6667 0.3333 0.4311
```

The 10 most intense peaks (5° ≤ 2θ ≤ 70°), in order of falling intensity:
2theta	I (rel.)
39.0	100
59.4	29
33.6	27
42.0	25
40.4	24
36.6	13
9.9	10
57.7	10
49.2	7
53.3	4

=====

For NaMo3P5, a PBE-relaxed structure gives the calculated PXRD pattern in this record (Cu Kα, 1.54184 Å).

```
data_NaMo3P5
_chemical_formula_sum 'Na1 Mo3 P5'
_cell_length_a 5.2900
_cell_length_b 5.2900
_cell_length_c 7.5785
_cell_angle_alpha 90.00
_cell_angle_beta 90.00
_cell_angle_gamma 120.00
_space_group_name_H-M_alt 'P 1'
_space_group_IT_number 1
_space_group_name_Hall 'P 1'
loop_
_atom_site_label
_atom_site_type_symbol
_atom_site_fract_x
_atom_site_fract_y
_atom_site_fract_z
Na1 Na 0.0000 0.0000 0.0000
Mo1 Mo 0.0000 0.5000 0.5000
Mo2 Mo 0.5000 0.0000 0.5000
Mo3 Mo 0.5000 0.5000 0.5000
P1 P 0.0000 0.0000 0.5000
P2 P 0.3333 0.6667 0.2347
P3 P 0.3333 0.6667 0.7653
P4 P 0.6667 0.3333 0.2347
P5 P 0.6667 0.3333 0.7653
```

The 10 most intense peaks (5° ≤ 2θ ≤ 70°), in order of falling intensity:
2theta	I (rel.)
11.7	100
46.3	37
41.2	29
39.3	15
19.4	13
23.5	12
54.0	11
22.7	11
35.5	9
41.6	8

=====

For NaMo3Pb5, a PBE-relaxed structure gives the calculated PXRD pattern in this record (Cu Kα, 1.54184 Å).

```
data_NaMo3Pb5
_chemical_formula_sum 'Na1 Mo3 Pb5'
_cell_length_a 5.6147
_cell_length_b 5.6147
_cell_length_c 9.0049
_cell_angle_alpha 90.00
_cell_angle_beta 90.00
_cell_angle_gamma 120.00
_space_group_name_H-M_alt 'P 1'
_space_group_IT_number 1
_space_group_name_Hall 'P 1'
loop_
_atom_site_label
_atom_site_type_symbol
_atom_site_fract_x
_atom_site_fract_y
_atom_site_fract_z
Na1 Na 0.0000 0.0000 0.0000
Mo1 Mo 0.0000 0.5000 0.5000
Mo2 Mo 0.5000 0.0000 0.5000
Mo3 Mo 0.5000 0.5000 0.5000
Pb1 Pb 0.0000 0.0000 0.5000
Pb2 Pb 0.3333 0.6667 0.2159
Pb3 Pb 0.3333 0.6667 0.7841
Pb4 Pb 0.6667 0.3333 0.2159
Pb5 Pb 0.6667 0.3333 0.7841
```

The 10 most intense peaks (5° ≤ 2θ ≤ 70°), in order of falling intensity:
2theta	I (rel.)
31.9	100
27.0	85
42.2	83
37.8	53
9.8	53
38.3	43
29.8	41
18.2	33
44.2	31
53.9	27

=====

For NaTcMoPb, a PBE-relaxed structure gives the calculated PXRD pattern in this record (Cu Kα, 1.54184 Å).

```
data_NaTcMoPb
_chemical_formula_sum 'Na1 Tc1 Mo1 Pb1'
_cell_length_a 4.6403
_cell_length_b 4.6403
_cell_length_c 4.6403
_cell_angle_alpha 60.00
_cell_angle_beta 60.00
_cell_angle_gamma 60.00
_space_group_name_H-M_alt 'P 1'
_space_group_IT_number 1
_space_group_name_Hall 'P 1'
loop_
_atom_site_label
_atom_site_type_symbol
_atom_site_fract_x
_atom_site_fract_y
_atom_site_fract_z
Na1 Na 0.0000 0.0000 0.0000
Tc1 Tc 0.5000 0.5000 0.5000
Mo1 Mo 0.7500 0.7500 0.7500
Pb1 Pb 0.2500 0.2500 0.2500
```

The 8 most intense peaks (5° ≤ 2θ ≤ 70°), in order of falling intensity:
2theta	I (rel.)
38.8	100
23.5	22
27.2	22
56.1	17
45.9	12
63.4	9
48.0	6
61.6	5

=====

For Na2ZnMoS4, a PBE-relaxed structure gives the calculated PXRD pattern in this record (Cu Kα, 1.54184 Å).

```
data_Na2ZnMoS4
_chemical_formula_sum 'Na2 Zn1 Mo1 S4'
_cell_length_a 6.5931
_cell_length_b 6.5931
_cell_length_c 6.3436
_cell_angle_alpha 118.74
_cell_angle_beta 118.74
_cell_angle_gamma 94.27
_space_group_name_H-M_alt 'P 1'
_space_group_IT_number 1
_space_group_name_Hall 'P 1'
loop_
_atom_site_label
_atom_site_type_symbol
_atom_site_fract_x
_atom_site_fract_y
_atom_site_fract_z
Na1 Na 0.0000 0.0000 0.0000
Na2 Na 0.7508 0.2492 0.5000
Zn1 Zn 0.2500 0.7500 0.5000
Mo1 Mo 0.5002 0.4998 0.0000
S1 S 0.1856 0.4365 0.0544
S2 S 0.3826 0.1312 0.5676
S3 S 0.5635 0.8144 0.9456
S4 S 0.8688 0.6174 0.4324
```

The 10 most intense peaks (5° ≤ 2θ ≤ 70°), in order of falling intensity:
2theta	I (rel.)
27.1	100
16.7	65
47.3	35
49.2	32
40.2	26
42.5	13
32.9	11
52.9	11
61.1	9
28.1	7

=====

For Nb9Mo7, a PBE-relaxed structure gives the calculated PXRD pattern in this record (Cu Kα, 1.54184 Å).

```
data_Nb9Mo7
_chemical_formula_sum 'Nb9 Mo7'
_cell_length_a 6.4813
_cell_length_b 6.4813
_cell_length_c 6.4813
_cell_angle_alpha 90.00
_cell_angle_beta 90.00
_cell_angle_gamma 90.00
_space_group_name_H-M_alt 'P 1'
_space_group_IT_number 1
_space_group_name_Hall 'P 1'
loop_
_atom_site_label
_atom_site_type_symbol
_atom_site_fract_x
_atom_site_fract_y
_atom_site_fract_z
Nb1 Nb 0.0000 0.0000 0.0000
Nb2 Nb 0.2516 0.2516 0.2516
Nb3 Nb 0.2516 0.2516 0.7484
Nb4 Nb 0.2516 0.7484 0.2516
Nb5 Nb 0.2516 0.7484 0.7484
Nb6 Nb 0.7484 0.2516 0.2516
Nb7 Nb 0.7484 0.2516 0.7484
Nb8 Nb 0.7484 0.7484 0.2516
Nb9 Nb 0.7484 0.7484 0.7484
Mo1 Mo 0.0000 0.0000 0.5000
Mo2 Mo 0.0000 0.5000 0.0000
Mo3 Mo 0.0000 0.5000 0.5000
Mo4 Mo 0.5000 0.0000 0.0000
Mo5 Mo 0.5000 0.0000 0.5000
Mo6 Mo 0.5000 0.5000 0.0000
Mo7 Mo 0.5000 0.5000 0.5000
```

The 2 most intense peaks (5° ≤ 2θ ≤ 70°), in order of falling intensity:
2theta	I (rel.)
39.3	100
56.8	16